1.
Simulated X-ray powder pattern
Compound: ReI2
Radiation: λ = 1.5418 Å (Cu Kα)
Structure: the GGA-PBE geometry in OQMD
Neutral-atom scattering factors, no anomalous dispersion.

Structure:
```
data_ReI2
_cell_length_a 6.2399
_cell_length_b 6.2399
_cell_length_c 4.2379
_cell_angle_alpha 90.00
_cell_angle_beta 90.00
_cell_angle_gamma 90.00
_symmetry_space_group_name_H-M 'P 42/m n m'
_symmetry_Int_Tables_number 136
_symmetry_space_group_name_Hall '-P 4n 2n'
loop_
_atom_site_label
_atom_site_type_symbol
_atom_site_fract_x
_atom_site_fract_y
_atom_site_fract_z
_atom_site_occupancy
Re1 Re 0.0000 0.0000 0.0000 1
I1 I 0.1937 0.1937 0.5000 1
```

Main lines, sorted by position (2θ from 10° to 90°):
- 2θ = 20.1°, d 4.412, rel. 96
- 2θ = 25.4°, d 3.506, rel. 22
- 2θ = 29.2°, d 3.056, rel. 83
- 2θ = 32.1°, d 2.791, rel. 31
- 2θ = 38.6°, d 2.331, rel. 100
- 2θ = 40.9°, d 2.206, rel. 37
- 2θ = 42.7°, d 2.119, rel. 28
- 2θ = 48.8°, d 1.867, rel. 66
- 2θ = 60.6°, d 1.528, rel. 23
- 2θ = 87.2°, d 1.118, rel. 22

=====

2.
Simulated X-ray powder pattern
Compound: Re3Se4I
Radiation: λ = 1.5418 Å (Cu Kα)
Structure: the GGA-PBE geometry in OQMD
Neutral-atom scattering factors, no anomalous dispersion.

Structure:
```
data_Re3Se4I
_cell_length_a 6.6437
_cell_length_b 12.1787
_cell_length_c 11.4773
_cell_angle_alpha 90.00
_cell_angle_beta 114.86
_cell_angle_gamma 90.00
_symmetry_space_group_name_H-M 'P 1 21/c 1'
_symmetry_Int_Tables_number 14
_symmetry_space_group_name_Hall '-P 2ybc'
loop_
_atom_site_label
_atom_site_type_symbol
_atom_site_fract_x
_atom_site_fract_y
_atom_site_fract_z
_atom_site_occupancy
Re1 Re 0.0351 0.1422 0.4482 1
Re2 Re 0.0399 0.0572 0.6599 1
Re3 Re 0.3028 0.5225 0.0598 1
Se1 Se 0.2232 0.7111 0.9579 1
Se2 Se 0.2685 0.0660 0.3390 1
Se3 Se 0.2991 0.6026 0.2624 1
Se4 Se 0.3664 0.1654 0.6641 1
I1 I 0.1097 0.1354 0.9044 1
```

Main lines, sorted by position (2θ from 10° to 90°):
- 2θ = 11.2°, d 7.915, rel. 100
- 2θ = 14.5°, d 6.089, rel. 10
- 2θ = 14.7°, d 6.028, rel. 20
- 2θ = 15.4°, d 5.765, rel. 16
- 2θ = 35.6°, d 2.519, rel. 7
- 2θ = 41.0°, d 2.203, rel. 13
- 2θ = 41.5°, d 2.175, rel. 6
- 2θ = 42.7°, d 2.115, rel. 6
- 2θ = 45.7°, d 1.984, rel. 7
- 2θ = 46.4°, d 1.955, rel. 10